1.
This entry pairs a crystal structure of Pm3Tm8Sc2 with its calculated powder diffractogram. Radiation: λ = 1.5418 Å (Cu Kα). Structure: a crystal structure in Alexandria, relaxed with GGA-PBE.

Top 10 peaks for 15 to 90 degrees two-theta, most intense first:
2θ 34.0, I = 100
2θ 32.4, I = 47
2θ 30.5, I = 41
2θ 32.1, I = 24
2θ 28.4, I = 22
2θ 58.8, I = 21
2θ 67.9, I = 19
2θ 29.8, I = 16
2θ 25.0, I = 15
2θ 18.3, I = 14

Atomic structure:
Unit cell a=10.4200 b=10.4200 c=5.5210 alpha=90.02 beta=90.02 gamma=43.15
Atoms (fractional coordinates):
Pm 0.0000 0.0000 0.0000
Pm 0.2935 0.7065 0.5000
Pm 0.7065 0.2935 0.5000
Tm 0.1364 0.1364 0.4998
Tm 0.1768 0.5944 0.9997
Tm 0.3221 0.3221 0.4992
Tm 0.4056 0.8232 0.0003
Tm 0.5944 0.1768 0.9997
Tm 0.6779 0.6779 0.5008
Tm 0.8232 0.4056 0.0003
Tm 0.8636 0.8636 0.5002
Sc 0.2403 0.2403 0.9992
Sc 0.7597 0.7597 0.0008

=====

2.
This entry pairs a crystal structure of Li4Cd5Pd3 with its calculated powder diffractogram. Radiation: λ = 1.5418 Å (Cu Kα). Structure: a crystal structure in Alexandria, relaxed with GGA-PBE.

Top 10 peaks for 15 to 90 degrees two-theta, most intense first:
2θ 38.4, I = 100
2θ 39.4, I = 54
2θ 39.1, I = 53
2θ 21.6, I = 49
2θ 22.0, I = 43
2θ 32.7, I = 31
2θ 40.3, I = 30
2θ 36.1, I = 29
2θ 40.0, I = 25
2θ 33.8, I = 23

Atomic structure:
Unit cell a=3.0246 b=5.7115 c=12.4297 alpha=86.20 beta=84.03 gamma=75.77
Atoms (fractional coordinates):
Li 0.1354 0.1882 0.0345
Li 0.1546 0.7493 0.3369
Li 0.8454 0.2507 0.6631
Li 0.8646 0.8118 0.9655
Cd 0.0166 0.7146 0.6861
Cd 0.4116 0.5660 0.1273
Cd 0.5000 0.0000 0.5000
Cd 0.5884 0.4340 0.8727
Cd 0.9834 0.2854 0.3139
Pd 0.3301 0.0202 0.8178
Pd 0.5000 0.5000 0.5000
Pd 0.6699 0.9798 0.1822